Diffraction record for ZnCdCu4Sn2S8. The X-ray powder pattern is computed, not measured: it uses a DFT-relaxed cell (GGA-PBE, Alexandria) and Cu Kα (λ = 1.5418 Å).

```
ZnCdCu4Sn2S8
1.0
5.5438 0.0000 0.0000
0.0000 5.5438 0.0000
0.0000 0.0000 10.9888
Zn Cd Cu Sn S
1 1 4 2 8
Direct
0.0000 0.0000 0.0000 Zn
0.5000 0.5000 0.5000 Cd
0.0000 0.5000 0.2444 Cu
0.0000 0.5000 0.7556 Cu
0.5000 0.0000 0.2444 Cu
0.5000 0.0000 0.7556 Cu
0.0000 0.0000 0.5000 Sn
0.5000 0.5000 0.0000 Sn
0.2439 0.2439 0.1314 S
0.2436 0.2436 0.6427 S
0.2436 0.7564 0.3573 S
0.2439 0.7561 0.8686 S
0.7564 0.2436 0.3573 S
0.7561 0.2439 0.8686 S
0.7561 0.7561 0.1314 S
0.7564 0.7564 0.6427 S
```

Main lines, in order of falling intensity (10 to 90 degrees two-theta):
| 2theta | I/Imax |
| --- | --- |
| 28.0 | 100.0 |
| 46.5 | 37.9 |
| 55.0 | 28.7 |
| 46.3 | 19.9 |
| 55.4 | 13.5 |
| 86.0 | 12.5 |
| 32.3 | 11.7 |
| 75.0 | 10.7 |
| 67.6 | 6.1 |
| 32.6 | 6.0 |

=====

Diffraction record for Sb2AuBr. The X-ray powder pattern is computed, not measured: it uses a DFT-relaxed cell (GGA-PBE, Alexandria) and Cu Kα (λ = 1.5418 Å).

```
Sb2AuBr
1.0
7.1608 0.0000 0.0000
0.0000 4.9933 0.0000
0.0000 0.0000 13.1602
Sb Au Br
8 4 4
Direct
0.0879 0.1929 0.0651 Sb
0.0879 0.3071 0.4349 Sb
0.4121 0.6929 0.4349 Sb
0.4121 0.8071 0.0651 Sb
0.5879 0.1929 0.9349 Sb
0.5879 0.3071 0.5651 Sb
0.9121 0.6929 0.5651 Sb
0.9121 0.8071 0.9349 Sb
0.2500 0.0000 0.5904 Au
0.2500 0.5000 0.9096 Au
0.7500 0.0000 0.4096 Au
0.7500 0.5000 0.0904 Au
0.0534 0.2500 0.7500 Br
0.4466 0.7500 0.7500 Br
0.5534 0.2500 0.2500 Br
0.9466 0.7500 0.2500 Br
```

Main lines, in order of falling intensity (10 to 90 degrees two-theta):
| 2theta | I/Imax |
| --- | --- |
| 29.8 | 100.0 |
| 25.6 | 96.8 |
| 43.1 | 65.8 |
| 13.5 | 65.7 |
| 31.5 | 52.4 |
| 43.6 | 52.0 |
| 30.7 | 44.2 |
| 35.0 | 37.4 |
| 44.2 | 37.3 |
| 41.2 | 32.8 |

=====

Diffraction record for ZnIn2Au. The X-ray powder pattern is computed, not measured: it uses a DFT-relaxed cell (GGA-PBE, Alexandria) and Cu Kα (λ = 1.5418 Å).

```
ZnIn2Au
1.0
4.3200 -1.7369 0.0000
4.3200 1.7369 0.0000
-1.3353 0.0000 5.9353
Zn In Au
1 2 1
Direct
0.0000 0.0000 0.0000 Zn
0.5206 0.5206 0.5835 In
0.7531 0.7531 0.2626 In
0.2675 0.2675 0.8445 Au
```

Main lines, in order of falling intensity (10 to 90 degrees two-theta):
| 2theta | I/Imax |
| --- | --- |
| 32.8 | 100.0 |
| 41.5 | 38.8 |
| 42.9 | 17.1 |
| 14.9 | 15.0 |
| 40.9 | 13.9 |
| 52.2 | 11.6 |
| 52.7 | 9.7 |
| 70.4 | 9.5 |
| 63.5 | 9.2 |
| 72.4 | 8.0 |

=====

Diffraction record for CuTeSe2. The X-ray powder pattern is computed, not measured: it uses a DFT-relaxed cell (GGA-PBE, Alexandria) and Cu Kα (λ = 1.5418 Å).

```
CuTeSe2
1.0
3.8558 0.0000 0.0000
1.9246 7.3426 0.0000
1.8887 2.2842 7.2947
Cu Te Se
2 2 4
Direct
0.0000 0.0000 0.0000 Cu
0.2491 0.1091 0.4119 Cu
0.5251 0.5730 0.3897 Te
0.8191 0.4689 0.8949 Te
0.0346 0.2235 0.6980 Se
0.3156 0.7885 0.5982 Se
0.5732 0.7977 0.0569 Se
0.7990 0.1956 0.2214 Se
```

Main lines, in order of falling intensity (10 to 90 degrees two-theta):
| 2theta | I/Imax |
| --- | --- |
| 25.2 | 100.0 |
| 29.6 | 46.2 |
| 39.6 | 32.8 |
| 30.8 | 25.9 |
| 47.6 | 21.0 |
| 47.1 | 20.8 |
| 48.2 | 19.8 |
| 31.5 | 19.7 |
| 48.4 | 14.0 |
| 38.3 | 11.4 |

=====

Repeat the first record exactly.
Diffraction record for ZnCdCu4Sn2S8. The X-ray powder pattern is computed, not measured: it uses a DFT-relaxed cell (GGA-PBE, Alexandria) and Cu Kα (λ = 1.5418 Å).

```
ZnCdCu4Sn2S8
1.0
5.5438 0.0000 0.0000
0.0000 5.5438 0.0000
0.0000 0.0000 10.9888
Zn Cd Cu Sn S
1 1 4 2 8
Direct
0.0000 0.0000 0.0000 Zn
0.5000 0.5000 0.5000 Cd
0.0000 0.5000 0.2444 Cu
0.0000 0.5000 0.7556 Cu
0.5000 0.0000 0.2444 Cu
0.5000 0.0000 0.7556 Cu
0.0000 0.0000 0.5000 Sn
0.5000 0.5000 0.0000 Sn
0.2439 0.2439 0.1314 S
0.2436 0.2436 0.6427 S
0.2436 0.7564 0.3573 S
0.2439 0.7561 0.8686 S
0.7564 0.2436 0.3573 S
0.7561 0.2439 0.8686 S
0.7561 0.7561 0.1314 S
0.7564 0.7564 0.6427 S
```

Main lines, in order of falling intensity (10 to 90 degrees two-theta):
| 2theta | I/Imax |
| --- | --- |
| 28.0 | 100.0 |
| 46.5 | 37.9 |
| 55.0 | 28.7 |
| 46.3 | 19.9 |
| 55.4 | 13.5 |
| 86.0 | 12.5 |
| 32.3 | 11.7 |
| 75.0 | 10.7 |
| 67.6 | 6.1 |
| 32.6 | 6.0 |